# 1
Starting from a crystal structure in OQMD, relaxed with GGA-PBE, the powder diffractogram of SrGe2OsO7 was computed for λ = 1.5418 Å (Cu Kα).
Neutral-atom scattering factors, no anomalous dispersion.

Principal peaks in the range 5° ≤ 2θ ≤ 70°, low angle first:
index  Position (°2θ)  d [Å]  I/Imax
1 1 0  16.39  5.407  36
1 1 1  26.30  3.388  44
0 2 1  28.27  3.156  100
2 0 -1  29.35  3.043  68
2 2 0  33.14  2.704  57
2 0 1  33.80  2.652  25
1 3 1  40.20  2.243  27
2 2 -2  48.15  1.890  25

Crystal structure
```
data_SrGe2OsO7
_space_group_name_H-M_alt 'C 1 2 1'
_space_group_IT_number 5
_space_group_name_Hall 'C 2y'
_cell_length_a 7.1100
_cell_length_b 8.4491
_cell_length_c 4.7982
_cell_angle_alpha 90.00
_cell_angle_beta 98.22
_cell_angle_gamma 90.00
loop_
_atom_site_label
_atom_site_fract_x
_atom_site_fract_y
_atom_site_fract_z
Sr1 0.0000 0.0000 0.0000
Ge1 0.2216 0.2587 0.4361
Os1 0.0000 0.5880 0.0000
O1 0.0000 0.1702 0.5000
O2 0.1234 0.7676 0.2446
O3 0.1891 0.4336 0.2390
O4 0.2015 0.5983 0.7636
```

# 2
Starting from a crystal structure in OQMD, relaxed with GGA-PBE, the powder diffractogram of DyAs2C was computed for λ = 1.5418 Å (Cu Kα).
Neutral-atom scattering factors, no anomalous dispersion.

Principal peaks in the range 5° ≤ 2θ ≤ 70°, low angle first:
index  Position (°2θ)  d [Å]  I/Imax
0 1 0  15.00  5.906  82
1 0 0  19.69  4.508  49
1 1 1  28.89  3.090  72
1 0 2  35.52  2.528  100
1 2 0  36.37  2.470  72
1 1 2  38.75  2.324  79
0 2 2  42.60  2.122  76
2 1 0  42.95  2.106  60

Crystal structure
```
data_DyAs2C
_space_group_name_H-M_alt 'P 2 2 21'
_space_group_IT_number 17
_space_group_name_Hall 'P 2c 2'
_cell_length_a 4.5078
_cell_length_b 5.9056
_cell_length_c 6.1055
_cell_angle_alpha 90.00
_cell_angle_beta 90.00
_cell_angle_gamma 90.00
loop_
_atom_site_label
_atom_site_fract_x
_atom_site_fract_y
_atom_site_fract_z
Dy1 0.0102 0.0000 0.0000
As1 0.1988 0.5000 0.5000
As2 0.5000 0.1689 0.7500
C1 0.0000 0.3324 0.2500
```

# 3
Starting from a crystal structure in OQMD, relaxed with GGA-PBE, the powder diffractogram of PrNdNi2Sn was computed for λ = 1.5418 Å (Cu Kα).
Neutral-atom scattering factors, no anomalous dispersion.

Principal peaks in the range 5° ≤ 2θ ≤ 70°, low angle first:
index  Position (°2θ)  d [Å]  I/Imax
0 1 3  28.88  3.092  35
1 1 1  32.68  2.740  100
1 0 4  34.51  2.599  67
1 1 3  37.41  2.404  27
0 1 5  38.65  2.330  38
0 2 0  44.30  2.045  25
2 0 0  47.57  1.912  20
1 2 4  57.34  1.607  35

Crystal structure
```
data_PrNdNi2Sn
_space_group_name_H-M_alt 'A m m 2'
_space_group_IT_number 38
_space_group_name_Hall 'A 2 -2'
_cell_length_a 3.8233
_cell_length_b 4.0893
_cell_length_c 14.1718
_cell_angle_alpha 90.00
_cell_angle_beta 90.00
_cell_angle_gamma 90.00
loop_
_atom_site_label
_atom_site_fract_x
_atom_site_fract_y
_atom_site_fract_z
Pr1 0.0000 0.0000 0.0000
Nd1 0.0000 0.0000 0.7303
Ni1 0.5000 0.0000 0.1667
Ni2 0.5000 0.0000 0.5656
Sn1 0.5000 0.0000 0.3643
```

# 4
Starting from a crystal structure in OQMD, relaxed with GGA-PBE, the powder diffractogram of LiHg3MoSe4 was computed for λ = 1.5418 Å (Cu Kα).
Neutral-atom scattering factors, no anomalous dispersion.

Principal peaks in the range 5° ≤ 2θ ≤ 70°, low angle first:
index  Position (°2θ)  d [Å]  I/Imax
1 0 0  14.11  6.275  48
1 1 1  24.57  3.623  85
2 0 0  28.45  3.138  18
2 1 0  31.89  2.806  36
2 2 0  40.67  2.219  100
3 0 0  43.25  2.092  17
3 1 1  48.09  1.892  43
3 3 1  64.75  1.440  18

Crystal structure
```
data_LiHg3MoSe4
_space_group_name_H-M_alt 'P -4 3 m'
_space_group_IT_number 215
_space_group_name_Hall 'P -4 2 3'
_cell_length_a 6.2754
_cell_length_b 6.2754
_cell_length_c 6.2754
_cell_angle_alpha 90.00
_cell_angle_beta 90.00
_cell_angle_gamma 90.00
loop_
_atom_site_label
_atom_site_fract_x
_atom_site_fract_y
_atom_site_fract_z
Li1 0.0000 0.0000 0.0000
Hg1 0.0000 0.5000 0.5000
Mo1 0.5000 0.5000 0.5000
Se1 0.2411 0.2411 0.2411
```

# 5
Starting from a crystal structure in OQMD, relaxed with GGA-PBE, the powder diffractogram of ErTmZn2Sn2 was computed for λ = 1.5418 Å (Cu Kα).
Neutral-atom scattering factors, no anomalous dispersion.

Principal peaks in the range 5° ≤ 2θ ≤ 70°, low angle first:
index  Position (°2θ)  d [Å]  I/Imax
0 0 4  23.83  3.734  23
1 1 0  29.55  3.023  51
1 1 2  31.94  2.802  42
0 0 6  36.09  2.489  24
1 1 4  38.31  2.350  100
2 0 0  42.28  2.138  54
2 0 6  56.77  1.622  26
2 2 0  61.33  1.512  18

Crystal structure
```
data_ErTmZn2Sn2
_space_group_name_H-M_alt 'I 4 m m'
_space_group_IT_number 107
_space_group_name_Hall 'I 4 -2'
_cell_length_a 4.2755
_cell_length_b 4.2755
_cell_length_c 14.9341
_cell_angle_alpha 90.00
_cell_angle_beta 90.00
_cell_angle_gamma 90.00
loop_
_atom_site_label
_atom_site_fract_x
_atom_site_fract_y
_atom_site_fract_z
Er1 0.0000 0.0000 0.0000
Tm1 0.0000 0.0000 0.3157
Zn1 0.0000 0.5000 0.1582
Sn1 0.0000 0.0000 0.5228
Sn2 0.0000 0.0000 0.7930
```

# 6
Starting from a crystal structure in OQMD, relaxed with GGA-PBE, the powder diffractogram of BaSiAg2Te3Se was computed for λ = 1.5418 Å (Cu Kα).
Neutral-atom scattering factors, no anomalous dispersion.

Principal peaks in the range 5° ≤ 2θ ≤ 70°, low angle first:
index  Position (°2θ)  d [Å]  I/Imax
2 2 -1  26.14  3.409  100
2 0 -2  26.55  3.357  38
1 3 0  28.26  3.158  40
0 4 0  33.47  2.678  27
0 0 2  34.25  2.618  27
2 2 1  43.33  2.088  19
4 2 -1  47.50  1.914  24
4 2 -3  47.96  1.897  22

Crystal structure
```
data_BaSiAg2Te3Se
_space_group_name_H-M_alt 'C 1 m 1'
_space_group_IT_number 8
_space_group_name_Hall 'C -2y'
_cell_length_a 8.8536
_cell_length_b 10.7103
_cell_length_c 6.8092
_cell_angle_alpha 90.00
_cell_angle_beta 129.73
_cell_angle_gamma 90.00
loop_
_atom_site_label
_atom_site_fract_x
_atom_site_fract_y
_atom_site_fract_z
Ba1 0.0000 0.0000 0.0000
Si1 0.0147 0.5000 0.0383
Ag1 0.0186 0.2557 0.5130
Te1 0.1606 0.0000 0.6326
Te2 0.1685 0.3057 0.0189
Se1 0.0409 0.5000 0.3960
```

# 7
Starting from a crystal structure in OQMD, relaxed with GGA-PBE, the powder diffractogram of Zn2Re was computed for λ = 1.5418 Å (Cu Kα).
Neutral-atom scattering factors, no anomalous dispersion.

Principal peaks in the range 5° ≤ 2θ ≤ 70°, low angle first:
index  Position (°2θ)  d [Å]  I/Imax
0 0 1  19.67  4.513  19
1 0 0  21.99  4.042  14
1 0 1  29.67  3.011  8
1 1 0  38.58  2.334  31
0 0 2  39.96  2.256  28
1 1 1  43.67  2.073  100
1 1 2  56.75  1.622  20
3 0 0  69.81  1.347  15

Crystal structure
```
data_Zn2Re
_space_group_name_H-M_alt 'P -6 2 m'
_space_group_IT_number 189
_space_group_name_Hall 'P -6 -2'
_cell_length_a 4.6672
_cell_length_b 4.6672
_cell_length_c 4.5127
_cell_angle_alpha 90.00
_cell_angle_beta 90.00
_cell_angle_gamma 120.00
loop_
_atom_site_label
_atom_site_fract_x
_atom_site_fract_y
_atom_site_fract_z
Zn1 0.0000 0.0000 0.0000
Zn2 0.0000 0.6481 0.5000
Re1 0.3333 0.6667 0.0000
```

# 8
Starting from a crystal structure in OQMD, relaxed with GGA-PBE, the powder diffractogram of La2Mg3Ni2Hg was computed for λ = 1.5418 Å (Cu Kα).
Neutral-atom scattering factors, no anomalous dispersion.

Principal peaks in the range 5° ≤ 2θ ≤ 70°, low angle first:
index  Position (°2θ)  d [Å]  I/Imax
0 0 1  10.65  8.307  46
1 1 -1  25.28  3.523  27
1 1 2  31.51  2.839  100
3 1 0  34.21  2.621  23
3 1 -1  35.92  2.500  68
2 0 -3  37.08  2.424  25
4 0 1  37.45  2.401  31
0 2 0  42.86  2.110  26

Crystal structure
```
data_La2Mg3Ni2Hg
_space_group_name_H-M_alt 'C 1 m 1'
_space_group_IT_number 8
_space_group_name_Hall 'C -2y'
_cell_length_a 10.0349
_cell_length_b 4.2196
_cell_length_c 8.3067
_cell_angle_alpha 90.00
_cell_angle_beta 90.07
_cell_angle_gamma 90.00
loop_
_atom_site_label
_atom_site_fract_x
_atom_site_fract_y
_atom_site_fract_z
La1 0.0000 0.0000 0.0000
La2 0.1180 0.0000 0.4948
Mg1 0.2132 0.5000 0.8033
Mg2 0.2178 0.5000 0.1964
Mg3 0.4041 0.0000 0.6937
Ni1 0.2800 0.0000 0.9968
Ni2 0.3323 0.5000 0.5058
Hg1 0.4134 0.0000 0.2996
```